For Co2P3O10, a structure optimized by DFT (GGA+U) gives the calculated X-ray diffraction stick pattern in this record (Cu Ka).
Peak positions follow from Bragg's law for the DFT cell and can differ from measured ones.

Atomic structure:
```
data_Co2P3O10
_symmetry_space_group_name_H-M 'P -1'
_symmetry_Int_Tables_number 2
_symmetry_space_group_name_Hall '-P 1'
_cell_length_a 7.856
_cell_length_b 8.077
_cell_length_c 9.511
_cell_angle_alpha 97.69
_cell_angle_beta 111.20
_cell_angle_gamma 113.16
loop_
_atom_site_label
_atom_site_type_symbol
_atom_site_fract_x
_atom_site_fract_y
_atom_site_fract_z
Co1 Co 0.173 0.256 0.457
Co2 Co 0.298 0.707 0.032
P1 P 0.139 0.550 0.269
P2 P 0.170 0.917 0.245
P3 P 0.224 0.136 0.767
O1 O 0.075 0.154 0.848
O2 O 0.102 0.570 0.826
O3 O 0.126 0.931 0.667
O4 O 0.188 0.768 0.338
O5 O 0.227 0.496 0.413
O6 O 0.238 0.547 0.156
O7 O 0.239 0.897 0.116
O8 O 0.256 0.283 0.682
O9 O 0.284 0.110 0.367
O10 O 0.428 0.194 0.919
```

Peak list (10 most intense, 5 to 70 degrees two-theta, low angle first)
6.522 Å, I = 69, hkl 0 1 -1; 6.433 Å, I = 61, hkl 1 0 0; 5.633 Å, I = 100, hkl -1 1 1; 4.802 Å, I = 32, hkl 1 -1 1; 4.257 Å, I = 84, hkl 0 1 -2; 3.493 Å, I = 38, hkl -1 2 1; 3.413 Å, I = 46, hkl -2 1 2; 3.261 Å, I = 63, hkl 0 2 -2; 3.216 Å, I = 63, hkl 2 0 0; 3.016 Å, I = 31, hkl 1 1 -3

For Co2P2O7, a structure optimized by DFT (GGA+U) gives the calculated X-ray diffraction stick pattern in this record (Cu Ka).
Peak positions follow from Bragg's law for the DFT cell and can differ from measured ones.

Atomic structure:
```
data_Co2P2O7
_symmetry_space_group_name_H-M 'P 1'
_symmetry_Int_Tables_number 1
_symmetry_space_group_name_Hall 'P 1'
_cell_length_a 5.324
_cell_length_b 5.384
_cell_length_c 9.079
_cell_angle_alpha 98.20
_cell_angle_beta 98.38
_cell_angle_gamma 104.01
loop_
_atom_site_label
_atom_site_type_symbol
_atom_site_fract_x
_atom_site_fract_y
_atom_site_fract_z
Co1 Co 0.000 0.000 0.000
Co2 Co 0.001 0.000 0.499
Co3 Co 0.372 0.625 0.506
Co4 Co 0.377 0.624 0.006
P1 P 0.471 0.097 0.300
P2 P 0.471 0.097 0.800
P3 P 0.906 0.528 0.706
P4 P 0.907 0.527 0.206
O1 O 0.068 0.386 0.115
O2 O 0.068 0.386 0.614
O3 O 0.068 0.690 0.359
O4 O 0.069 0.689 0.859
O5 O 0.308 0.935 0.647
O6 O 0.309 0.936 0.147
O7 O 0.310 0.238 0.892
O8 O 0.311 0.239 0.392
O9 O 0.616 0.939 0.893
O10 O 0.618 0.939 0.392
O11 O 0.689 0.312 0.753
O12 O 0.689 0.313 0.253
O13 O 0.761 0.685 0.113
O14 O 0.761 0.686 0.613
```

Peak list (10 most intense, 5 to 70 degrees two-theta, low angle first)
4.413 Å, I = 20, hkl 0 0 2; 3.077 Å, I = 38, hkl 0 1 2; 3.056 Å, I = 100, hkl -1 1 2; 3.044 Å, I = 73, hkl 1 -1 2; 2.941 Å, I = 99, hkl 1 1 -2; 2.587 Å, I = 19, hkl 1 -2 0; 2.565 Å, I = 35, hkl 2 -1 0; 2.148 Å, I = 17, hkl -1 2 2; 2.057 Å, I = 35, hkl 1 1 -4; 1.608 Å, I = 17, hkl -1 2 4